Entry 1:
This entry pairs a crystal structure of I2Br with its computed powder XRD pattern. Radiation: CuKα. Structure: the GGA-PBE geometry in Alexandria.

Most intense lines, 15° ≤ 2θ ≤ 90°, in order of falling intensity:
| d/Å | Rel. int. |
| --- | --- |
| 4.489 | 100 |
| 3.706 | 44 |
| 2.666 | 41 |
| 3.658 | 38 |
| 3.393 | 38 |
| 5.035 | 36 |
| 4.864 | 33 |
| 2.075 | 33 |

Crystal structure
```
6
Lattice="3.689 -3.487 0.000 3.689 3.487 0.000 -2.089 0.000 12.403" Properties=species:S:1:pos:R:3 pbc="T T T"
I 0.653 1.644 8.133
I 0.394 0.000 2.154
I 4.635 1.644 4.270
I 4.894 0.000 10.249
Br 2.644 1.814 6.201
Br 3.689 -1.752 0.000
```


Entry 2:
This entry pairs a crystal structure of In15I12Br5 with its computed powder XRD pattern. Radiation: CuKα. Structure: the GGA-PBE geometry in Alexandria.

Most intense lines, 15° ≤ 2θ ≤ 90°, in order of falling intensity:
| d/Å | Rel. int. |
| --- | --- |
| 3.139 | 100 |
| 4.100 | 87 |
| 2.779 | 76 |
| 2.493 | 47 |
| 3.939 | 45 |
| 2.506 | 33 |
| 2.366 | 31 |
| 3.097 | 31 |

Crystal structure
```
32
Lattice="16.401 0.000 0.000 -8.200 14.203 0.000 0.000 0.000 6.279" Properties=species:S:1:pos:R:3 pbc="T T T"
In -1.647 2.852 0.000
In -3.838 6.648 0.000
In -5.543 9.600 0.000
In -1.385 6.807 3.139
In 3.293 0.000 0.000
In 2.658 4.603 0.000
In -1.613 11.999 3.139
In 7.677 0.000 0.000
In 6.587 2.204 3.139
In 2.998 9.601 3.139
In 4.362 7.555 0.000
In 11.085 0.000 0.000
In 6.816 7.396 3.139
In 6.554 11.351 0.000
In 11.198 4.603 3.139
I -1.770 3.066 3.139
I -4.699 8.138 3.139
I -0.428 6.127 0.000
I 3.540 0.000 3.139
I -2.680 11.511 0.000
I 3.502 6.065 3.139
I 5.521 2.693 0.000
I 3.108 10.769 0.000
I 9.397 0.000 3.139
I 7.772 8.076 0.000
I 6.430 11.138 3.139
I 11.308 3.435 0.000
Br -6.995 12.116 0.000
Br 1.205 2.087 0.000
Br 0.000 9.469 3.139
Br 8.200 4.734 3.139
Br 13.990 0.000 0.000
```


Entry 3:
This entry pairs a crystal structure of In2I2Br with its computed powder XRD pattern. Radiation: CuKα. Structure: the GGA-PBE geometry in Alexandria.

Most intense lines, 15° ≤ 2θ ≤ 90°, in order of falling intensity:
| d/Å | Rel. int. |
| --- | --- |
| 3.403 | 100 |
| 3.071 | 97 |
| 5.457 | 75 |
| 3.038 | 68 |
| 2.612 | 61 |
| 3.257 | 49 |
| 3.003 | 47 |
| 2.177 | 44 |

Crystal structure
```
10
Lattice="8.540 0.000 0.000 0.000 4.354 0.000 -2.913 0.000 11.770" Properties=species:S:1:pos:R:3 pbc="T T T"
In 0.000 0.000 0.000
In -0.721 2.177 4.535
In 3.856 2.177 2.203
In 3.279 2.177 6.937
I -1.142 2.177 10.720
I 0.764 0.000 6.648
I 4.951 0.000 4.526
I 3.854 0.000 9.570
Br 1.243 0.000 2.386
Br 6.976 2.177 1.100
```


Entry 4:
This entry pairs a crystal structure of In2I2Br with its computed powder XRD pattern. Radiation: CuKα. Structure: the GGA-PBE geometry in Alexandria.

Most intense lines, 15° ≤ 2θ ≤ 90°, in order of falling intensity:
| d/Å | Rel. int. |
| --- | --- |
| 3.399 | 100 |
| 3.060 | 43 |
| 2.284 | 33 |
| 2.264 | 33 |
| 2.529 | 21 |
| 2.297 | 19 |
| 1.837 | 19 |
| 5.650 | 19 |

Crystal structure
```
5
Lattice="8.141 -2.297 0.000 8.141 2.297 0.000 -2.227 0.000 5.700" Properties=species:S:1:pos:R:3 pbc="T T T"
In 0.000 0.000 0.000
In 9.693 0.000 3.896
I -0.924 0.000 2.925
I 3.886 0.000 4.907
Br 10.037 0.000 0.737
```


Entry 5:
This entry pairs a crystal structure of In4I3Br with its computed powder XRD pattern. Radiation: CuKα. Structure: the GGA-PBE geometry in Alexandria.

Most intense lines, 15° ≤ 2θ ≤ 90°, in order of falling intensity:
| d/Å | Rel. int. |
| --- | --- |
| 3.467 | 100 |
| 2.454 | 52 |
| 2.448 | 26 |
| 2.003 | 21 |
| 1.549 | 18 |
| 1.552 | 18 |
| 1.417 | 15 |
| 1.734 | 13 |

Crystal structure
```
16
Lattice="8.506 0.000 0.000 0.000 9.816 0.000 -2.828 0.000 7.989" Properties=species:S:1:pos:R:3 pbc="T T T"
In 2.015 1.159 0.016
In 0.601 8.657 4.011
In 0.698 3.622 3.930
In -0.716 6.194 7.924
In 6.394 3.622 0.065
In 4.980 6.194 4.059
In 5.077 1.159 3.978
In 3.663 8.657 7.973
I -2.121 3.668 5.992
I -0.707 6.148 1.997
I 2.132 1.234 5.992
I 3.546 3.676 1.997
I 2.132 6.140 5.992
I 3.546 8.582 1.997
Br -0.707 1.218 1.997
Br -2.121 8.598 5.992
```


Entry 6:
This entry pairs a crystal structure of In5IBr4 with its computed powder XRD pattern. Radiation: CuKα. Structure: the GGA-PBE geometry in Alexandria.

Most intense lines, 15° ≤ 2θ ≤ 90°, in order of falling intensity:
| d/Å | Rel. int. |
| --- | --- |
| 3.371 | 100 |
| 2.384 | 76 |
| 1.509 | 17 |
| 1.506 | 16 |
| 1.377 | 14 |
| 1.947 | 14 |
| 1.686 | 12 |
| 1.949 | 7 |

Crystal structure
```
10
Lattice="7.891 -2.385 0.000 7.891 2.385 0.000 -5.754 0.000 10.179" Properties=species:S:1:pos:R:3 pbc="T T T"
In 0.000 0.000 0.000
In -1.451 0.000 8.244
In 2.709 0.000 6.171
In 7.318 0.000 4.008
In 11.478 0.000 1.935
I -2.877 0.000 5.089
Br 1.533 0.000 2.976
Br 5.814 0.000 1.105
Br 4.214 0.000 9.074
Br 8.495 0.000 7.203
```


Entry 7:
This entry pairs a crystal structure of In5I3Br2 with its computed powder XRD pattern. Radiation: CuKα. Structure: the GGA-PBE geometry in Alexandria.

Most intense lines, 15° ≤ 2θ ≤ 90°, in order of falling intensity:
| d/Å | Rel. int. |
| --- | --- |
| 3.436 | 100 |
| 2.439 | 39 |
| 2.421 | 37 |
| 1.987 | 14 |
| 1.542 | 12 |
| 1.531 | 11 |
| 1.403 | 9 |
| 1.407 | 8 |

Crystal structure
```
10
Lattice="8.084 -2.436 0.000 8.084 2.436 0.000 -5.783 0.000 10.304" Properties=species:S:1:pos:R:3 pbc="T T T"
In 0.000 0.000 0.000
In -1.544 0.000 8.400
In 2.991 0.000 6.300
In 7.394 0.000 4.004
In 11.930 0.000 1.904
I -2.892 0.000 5.152
I 1.658 0.000 3.091
I 8.728 0.000 7.213
Br 5.982 0.000 0.973
Br 4.403 0.000 9.331
```


Entry 8:
This entry pairs a crystal structure of In2IBr2 with its computed powder XRD pattern. Radiation: CuKα. Structure: the GGA-PBE geometry in Alexandria.

Most intense lines, 15° ≤ 2θ ≤ 90°, in order of falling intensity:
| d/Å | Rel. int. |
| --- | --- |
| 2.578 | 100 |
| 2.887 | 77 |
| 2.985 | 63 |
| 5.114 | 48 |
| 2.018 | 43 |
| 4.290 | 33 |
| 2.992 | 33 |
| 2.194 | 28 |

Crystal structure
```
5
Lattice="10.455 -2.037 0.000 10.455 2.037 0.000 -0.911 0.000 4.292" Properties=species:S:1:pos:R:3 pbc="T T T"
In 0.000 0.000 0.000
In 4.598 0.000 0.987
I 15.867 0.000 3.403
Br 9.063 0.000 1.943
Br 12.932 0.000 0.526
```


Entry 9:
This entry pairs a crystal structure of InIBr with its computed powder XRD pattern. Radiation: CuKα. Structure: the GGA-PBE geometry in Alexandria.

Most intense lines, 15° ≤ 2θ ≤ 90°, in order of falling intensity:
| d/Å | Rel. int. |
| --- | --- |
| 3.201 | 100 |
| 3.622 | 64 |
| 3.367 | 63 |
| 2.090 | 57 |
| 2.139 | 55 |
| 2.574 | 50 |
| 4.024 | 33 |
| 2.556 | 30 |

Crystal structure
```
6
Lattice="8.169 -2.089 0.000 8.169 2.089 0.000 -3.201 0.000 7.244" Properties=species:S:1:pos:R:3 pbc="T T T"
In 0.000 0.000 0.000
In -0.500 0.000 2.869
I -0.641 0.000 5.863
I 5.569 0.000 2.599
Br 3.707 0.000 5.971
Br 9.562 0.000 3.158
```


Entry 10:
This entry pairs a crystal structure of In2IBr with its computed powder XRD pattern. Radiation: CuKα. Structure: the GGA-PBE geometry in Alexandria.

Most intense lines, 15° ≤ 2θ ≤ 90°, in order of falling intensity:
| d/Å | Rel. int. |
| --- | --- |
| 3.448 | 100 |
| 2.427 | 55 |
| 3.411 | 48 |
| 1.984 | 40 |
| 2.438 | 38 |
| 1.540 | 21 |
| 2.420 | 19 |
| 1.406 | 18 |

Crystal structure
```
16
Lattice="6.887 0.000 0.000 0.000 6.907 0.000 -6.847 0.000 13.644" Properties=species:S:1:pos:R:3 pbc="T T T"
In -0.009 1.719 1.572
In -3.432 5.188 8.394
In -3.425 1.679 11.808
In -0.002 5.228 4.987
In 0.043 1.679 8.657
In 3.466 5.228 1.835
In 3.473 1.719 5.250
In 0.050 5.188 12.072
I 0.026 1.727 5.114
I -3.397 5.179 11.936
I 3.438 1.727 1.708
I 0.015 5.179 8.530
Br -3.501 1.531 8.534
Br -0.078 5.376 1.712
Br 0.119 1.531 11.932
Br 3.542 5.376 5.110
```


Entry 11:
This entry pairs a crystal structure of In2I2Br with its computed powder XRD pattern. Radiation: CuKα. Structure: the GGA-PBE geometry in Alexandria.

Most intense lines, 15° ≤ 2θ ≤ 90°, in order of falling intensity:
| d/Å | Rel. int. |
| --- | --- |
| 2.907 | 100 |
| 3.171 | 86 |
| 3.271 | 85 |
| 1.971 | 55 |
| 2.714 | 45 |
| 2.367 | 45 |
| 2.383 | 37 |
| 1.771 | 31 |

Crystal structure
```
5
Lattice="6.356 -2.136 0.000 6.356 2.136 0.000 -3.659 0.000 7.149" Properties=species:S:1:pos:R:3 pbc="T T T"
In -0.304 0.000 2.198
In 9.357 0.000 4.951
I 2.865 0.000 2.454
I 6.187 0.000 4.695
Br 6.356 0.000 0.000
```


Entry 12:
This entry pairs a crystal structure of KIn2IBr2 with its computed powder XRD pattern. Radiation: CuKα. Structure: the GGA-PBE geometry in Alexandria.

Most intense lines, 15° ≤ 2θ ≤ 90°, in order of falling intensity:
| d/Å | Rel. int. |
| --- | --- |
| 3.444 | 100 |
| 2.431 | 89 |
| 5.286 | 87 |
| 5.766 | 73 |
| 3.271 | 72 |
| 3.244 | 69 |
| 3.070 | 66 |
| 3.116 | 65 |

Crystal structure
```
12
Lattice="8.248 0.000 0.000 0.000 6.879 0.000 -2.887 0.000 10.572" Properties=species:S:1:pos:R:3 pbc="T T T"
K 1.623 1.720 0.378
K 3.738 5.160 10.194
In -0.704 3.495 6.942
In -0.704 6.824 6.942
In 6.065 0.056 3.630
In 6.065 3.384 3.630
I 0.308 5.160 2.787
I 5.053 1.720 7.785
Br -1.296 5.160 9.393
Br 0.994 1.720 8.602
Br 4.367 5.160 1.970
Br 6.657 1.720 1.179
```


Entry 13:
This entry pairs a crystal structure of SrInI4Br with its computed powder XRD pattern. Radiation: CuKα. Structure: the GGA-PBE geometry in Alexandria.

Most intense lines, 15° ≤ 2θ ≤ 90°, in order of falling intensity:
| d/Å | Rel. int. |
| --- | --- |
| 3.684 | 100 |
| 2.214 | 54 |
| 3.986 | 53 |
| 2.834 | 51 |
| 2.620 | 46 |
| 3.849 | 44 |
| 3.127 | 42 |
| 2.946 | 41 |

Crystal structure
```
14
Lattice="7.752 -4.371 0.000 7.752 4.371 0.000 -1.408 0.000 11.959" Properties=species:S:1:pos:R:3 pbc="T T T"
Sr 1.461 0.000 5.960
Sr 12.634 0.000 5.999
In 4.777 0.000 2.713
In 9.319 0.000 9.246
I 3.121 2.241 8.072
I 4.273 0.000 0.075
I 10.975 2.241 3.886
I 7.272 0.000 3.697
I 6.824 0.000 8.262
I 3.121 -2.241 8.072
I 9.823 0.000 11.884
I 10.975 -2.241 3.886
Br -0.686 0.000 7.963
Br 14.781 0.000 3.995
```